Structure and computed PXRD pattern of PmNd2O3 (a PBE-relaxed structure; Cu Kα (weighted mean of Kα1 and Kα2)).
Lines closer than 0.1° are merged.

Atomic structure:
```
data_PmNd2O3
_symmetry_space_group_name_H-M 'P -3 m 1'
_symmetry_Int_Tables_number 164
_symmetry_space_group_name_Hall '-P 3 2"'
_cell_length_a 3.5370
_cell_length_b 3.5370
_cell_length_c 8.6372
_cell_angle_alpha 90.00
_cell_angle_beta 90.00
_cell_angle_gamma 120.00
loop_
_atom_site_label
_atom_site_type_symbol
_atom_site_fract_x
_atom_site_fract_y
_atom_site_fract_z
Pm1 Pm 0.0000 0.0000 0.0000
Nd1 Nd 0.3333 0.6667 0.3329
O1 O 0.0000 0.0000 0.5000
O2 O 0.3333 0.6667 0.8388
```

Principal peaks in the range 5 to 70 degrees two-theta, low angle first:
31.0 deg, intensity 100, hkl 0 1 1
35.9 deg, intensity 81, hkl 1 0 2
51.7 deg, intensity 28, hkl 1 1 0
51.8 deg, intensity 28, hkl 0 1 4
61.5 deg, intensity 34, hkl 2 0 1
61.6 deg, intensity 11, hkl 1 0 5
64.6 deg, intensity 14, hkl 0 2 2
64.8 deg, intensity 5, hkl 0 0 6

***

Structure and computed PXRD pattern of TlAgSnTe3 (a PBE-relaxed structure; Cu Kα (weighted mean of Kα1 and Kα2)).
Lines closer than 0.1° are merged.

Atomic structure:
```
data_TlAgSnTe3
_symmetry_space_group_name_H-M 'P n m a'
_symmetry_Int_Tables_number 62
_symmetry_space_group_name_Hall '-P 2ac 2n'
_cell_length_a 12.159
_cell_length_b 4.508
_cell_length_c 13.151
_cell_angle_alpha 90.00
_cell_angle_beta 90.00
_cell_angle_gamma 90.00
loop_
_atom_site_label
_atom_site_type_symbol
_atom_site_fract_x
_atom_site_fract_y
_atom_site_fract_z
Tl1 Tl 0.248 0.250 0.026
Ag1 Ag 0.249 0.250 0.350
Sn1 Sn 0.005 0.250 0.749
Te1 Te 0.025 0.250 0.409
Te2 Te 0.027 0.750 0.907
Te3 Te 0.248 0.750 0.213
```

Principal peaks in the range 5 to 70 degrees two-theta, low angle first:
28.4 deg, intensity 68, hkl 0 1 3
29.4 deg, intensity 100, hkl 4 0 0
36.2 deg, intensity 24, hkl 3 1 3
40.0 deg, intensity 25, hkl 0 2 0
41.3 deg, intensity 41, hkl 4 1 3
43.9 deg, intensity 17, hkl 2 0 6
47.3 deg, intensity 15, hkl 5 1 3
50.4 deg, intensity 23, hkl 4 2 0

***

Structure and computed PXRD pattern of GdH (a PBE-relaxed structure; Cu Kα (weighted mean of Kα1 and Kα2)).
Lines closer than 0.1° are merged.

Atomic structure:
```
data_GdH
_symmetry_space_group_name_H-M 'F -4 3 m'
_symmetry_Int_Tables_number 216
_symmetry_space_group_name_Hall 'F -4 2 3'
_cell_length_a 5.248
_cell_length_b 5.248
_cell_length_c 5.248
_cell_angle_alpha 90.00
_cell_angle_beta 90.00
_cell_angle_gamma 90.00
loop_
_atom_site_label
_atom_site_type_symbol
_atom_site_fract_x
_atom_site_fract_y
_atom_site_fract_z
Gd1 Gd 0.000 0.000 0.000
H1 H 0.250 0.250 0.750
```

Principal peaks in the range 5 to 70 degrees two-theta, low angle first:
29.5 deg, intensity 100, hkl 1 1 1
34.2 deg, intensity 50, hkl 2 0 0
49.1 deg, intensity 37, hkl 2 2 0
58.3 deg, intensity 44, hkl 3 1 1
61.2 deg, intensity 13, hkl 2 2 2

***

Structure and computed PXRD pattern of Ta11Al4 (a PBE-relaxed structure; Cu Kα (weighted mean of Kα1 and Kα2)).
Lines closer than 0.1° are merged.

Atomic structure:
```
data_Ta11Al4
_symmetry_space_group_name_H-M 'P 42/m n m'
_symmetry_Int_Tables_number 136
_symmetry_space_group_name_Hall '-P 4n 2n'
_cell_length_a 9.994
_cell_length_b 9.994
_cell_length_c 5.402
_cell_angle_alpha 90.00
_cell_angle_beta 90.00
_cell_angle_gamma 90.00
loop_
_atom_site_label
_atom_site_type_symbol
_atom_site_fract_x
_atom_site_fract_y
_atom_site_fract_z
Ta1 Ta 0.000 0.000 0.000
Ta2 Ta 0.060 0.265 0.000
Ta3 Ta 0.098 0.098 0.500
Ta4 Ta 0.188 0.812 0.250
Al1 Al 0.034 0.363 0.500
```

Principal peaks in the range 5 to 70 degrees two-theta, low angle first:
12.5 deg, intensity 65, hkl 1 1 0
37.1 deg, intensity 100, hkl 4 1 0
37.9 deg, intensity 36, hkl 2 0 2
38.2 deg, intensity 28, hkl 3 3 0
39.0 deg, intensity 90, hkl 2 1 2
40.8 deg, intensity 63, hkl 4 1 1
41.8 deg, intensity 46, hkl 3 3 1
64.4 deg, intensity 35, hkl 5 3 2

***

Structure and computed PXRD pattern of Sc3AgSe (a PBE-relaxed structure; Cu Kα (weighted mean of Kα1 and Kα2)).
Lines closer than 0.1° are merged.

Atomic structure:
```
data_Sc3AgSe
_symmetry_space_group_name_H-M 'C 1 2/c 1'
_symmetry_Int_Tables_number 15
_symmetry_space_group_name_Hall '-C 2yc'
_cell_length_a 12.224
_cell_length_b 6.784
_cell_length_c 6.784
_cell_angle_alpha 90.00
_cell_angle_beta 123.65
_cell_angle_gamma 90.00
loop_
_atom_site_label
_atom_site_type_symbol
_atom_site_fract_x
_atom_site_fract_y
_atom_site_fract_z
Sc1 Sc 0.000 0.245 0.250
Sc2 Sc 0.248 0.413 0.835
Ag1 Ag 0.000 0.249 0.750
Se1 Se 0.250 0.250 0.500
```

Principal peaks in the range 5 to 70 degrees two-theta, low angle first:
25.5 deg, intensity 84, hkl 1 1 1
26.3 deg, intensity 100, hkl 0 2 0
31.7 deg, intensity 46, hkl 0 0 2
35.3 deg, intensity 63, hkl 4 0 0
37.5 deg, intensity 66, hkl 2 2 -2
44.5 deg, intensity 47, hkl 6 0 -2
45.9 deg, intensity 83, hkl 3 3 -1
52.4 deg, intensity 47, hkl 2 2 2

***

Structure and computed PXRD pattern of Si17NiGe14 (a PBE-relaxed structure; Cu Kα (weighted mean of Kα1 and Kα2)).
Lines closer than 0.1° are merged.

Atomic structure:
```
data_Si17NiGe14
_symmetry_space_group_name_H-M 'P 1 m 1'
_symmetry_Int_Tables_number 6
_symmetry_space_group_name_Hall 'P -2y'
_cell_length_a 5.565
_cell_length_b 3.943
_cell_length_c 31.310
_cell_angle_alpha 90.00
_cell_angle_beta 90.09
_cell_angle_gamma 90.00
loop_
_atom_site_label
_atom_site_type_symbol
_atom_site_fract_x
_atom_site_fract_y
_atom_site_fract_z
Si1 Si 0.000 0.000 0.000
Si2 Si 0.000 0.000 0.748
Si3 Si 0.248 0.000 0.809
Si4 Si 0.250 0.000 0.061
Si5 Si 0.250 0.000 0.310
Si6 Si 0.253 0.000 0.564
Si7 Si 0.488 0.500 0.810
Si8 Si 0.489 0.500 0.062
Si9 Si 0.491 0.500 0.311
Si10 Si 0.494 0.500 0.568
Si11 Si 0.501 0.500 0.435
Si12 Si 0.504 0.500 0.680
Si13 Si 0.737 0.500 0.373
Si14 Si 0.738 0.500 0.871
Si15 Si 0.739 0.500 0.123
Si16 Si 0.750 0.500 0.250
Si17 Si 0.990 0.000 0.250
Ni1 Ni 0.750 0.500 0.623
Ge1 Ge 0.003 0.000 0.501
Ge2 Ge 0.239 0.000 0.187
Ge3 Ge 0.239 0.000 0.936
Ge4 Ge 0.250 0.000 0.685
Ge5 Ge 0.251 0.000 0.435
Ge6 Ge 0.499 0.500 0.935
Ge7 Ge 0.502 0.500 0.187
Ge8 Ge 0.736 0.500 0.501
Ge9 Ge 0.747 0.500 0.746
Ge10 Ge 0.751 0.500 0.000
Ge11 Ge 0.963 0.000 0.623
Ge12 Ge 0.987 0.000 0.871
Ge13 Ge 0.988 0.000 0.122
Ge14 Ge 0.988 0.000 0.371
```

Principal peaks in the range 5 to 70 degrees two-theta, low angle first:
11.3 deg, intensity 17, hkl 0 0 4
27.7 deg, intensity 97, hkl 1 1 0
27.9 deg, intensity 100, hkl 1 0 8
46.0 deg, intensity 24, hkl 0 2 0
46.2 deg, intensity 92, hkl 2 1 -8
46.4 deg, intensity 23, hkl 0 0 16
54.7 deg, intensity 50, hkl 3 1 0
54.9 deg, intensity 26, hkl 1 1 -16

***

Structure and computed PXRD pattern of CuAg4 (a PBE-relaxed structure; Cu Kα (weighted mean of Kα1 and Kα2)).
Lines closer than 0.1° are merged.

Atomic structure:
```
data_CuAg4
_symmetry_space_group_name_H-M 'P m m n'
_symmetry_Int_Tables_number 59
_cell_length_a 2.902
_cell_length_b 4.014
_cell_length_c 14.449
_cell_angle_alpha 90.00
_cell_angle_beta 90.00
_cell_angle_gamma 90.00
loop_
_symmetry_equiv_pos_as_xyz
'x,y,z'
'-x,-y,-z'
'-x+1/2,-y+1/2,z'
'x+1/2,y+1/2,-z'
'x+1/2,-y,-z'
'-x+1/2,y,z'
'-x,y+1/2,-z'
'x,-y+1/2,z'
loop_
_atom_site_label
_atom_site_type_symbol
_atom_site_fract_x
_atom_site_fract_y
_atom_site_fract_z
Cu1 Cu 0.250 0.250 0.146
Ag1 Ag 0.250 0.250 0.343
Ag2 Ag 0.250 0.250 0.552
Ag3 Ag 0.250 0.250 0.759
Ag4 Ag 0.250 0.250 0.950
```

Principal peaks in the range 5 to 70 degrees two-theta, low angle first:
33.3 deg, intensity 4, hkl 0 1 4
38.3 deg, intensity 100, hkl 1 1 0
38.4 deg, intensity 96, hkl 0 1 5
44.2 deg, intensity 63, hkl 1 0 5
45.2 deg, intensity 31, hkl 0 2 0
64.2 deg, intensity 10, hkl 2 0 0
64.5 deg, intensity 9, hkl 0 0 10
65.1 deg, intensity 38, hkl 1 2 5

***

Structure and computed PXRD pattern of LaPrFe2B2N2 (a PBE-relaxed structure; Cu Kα (weighted mean of Kα1 and Kα2)).
Lines closer than 0.1° are merged.

Atomic structure:
```
data_LaPrFe2B2N2
_symmetry_space_group_name_H-M 'P 4 m m'
_symmetry_Int_Tables_number 99
_symmetry_space_group_name_Hall 'P 4 -2'
_cell_length_a 3.626
_cell_length_b 3.626
_cell_length_c 7.867
_cell_angle_alpha 90.00
_cell_angle_beta 90.00
_cell_angle_gamma 90.00
loop_
_atom_site_label
_atom_site_type_symbol
_atom_site_fract_x
_atom_site_fract_y
_atom_site_fract_z
La1 La 0.000 0.000 0.000
Pr1 Pr 0.500 0.500 0.345
Fe1 Fe 0.000 0.500 0.670
B1 B 0.000 0.000 0.512
B2 B 0.500 0.500 0.830
N1 N 0.000 0.000 0.325
N2 N 0.500 0.500 0.017
```

Principal peaks in the range 5 to 70 degrees two-theta, low angle first:
27.1 deg, intensity 100, hkl 1 0 1
33.6 deg, intensity 64, hkl 1 0 2
34.2 deg, intensity 53, hkl 0 0 3
36.9 deg, intensity 68, hkl 1 1 1
42.1 deg, intensity 59, hkl 1 1 2
50.3 deg, intensity 39, hkl 2 0 0
58.1 deg, intensity 26, hkl 2 1 1
62.3 deg, intensity 35, hkl 2 0 3

***

Structure and computed PXRD pattern of Zr3Sb2As2Pd4 (a PBE-relaxed structure; Cu Kα (weighted mean of Kα1 and Kα2)).
Lines closer than 0.1° are merged.

Atomic structure:
```
data_Zr3Sb2As2Pd4
_symmetry_space_group_name_H-M 'I -4 2 m'
_symmetry_Int_Tables_number 121
_symmetry_space_group_name_Hall 'I -4 2'
_cell_length_a 6.332
_cell_length_b 6.332
_cell_length_c 12.018
_cell_angle_alpha 90.00
_cell_angle_beta 90.00
_cell_angle_gamma 90.00
loop_
_atom_site_label
_atom_site_type_symbol
_atom_site_fract_x
_atom_site_fract_y
_atom_site_fract_z
Zr1 Zr 0.000 0.000 0.000
Zr2 Zr 0.000 0.500 0.250
Sb1 Sb 0.000 0.000 0.261
As1 As 0.000 0.500 0.000
Pd1 Pd 0.244 0.244 0.877
```

Principal peaks in the range 5 to 70 degrees two-theta, low angle first:
14.7 deg, intensity 8, hkl 0 0 2
24.8 deg, intensity 66, hkl 1 1 2
40.3 deg, intensity 55, hkl 2 2 0
41.4 deg, intensity 100, hkl 2 0 4
47.9 deg, intensity 22, hkl 3 1 2
49.9 deg, intensity 9, hkl 1 1 6
58.3 deg, intensity 18, hkl 4 0 0
66.0 deg, intensity 8, hkl 3 1 6